Entry 1:
For NdFe5Bi4O15, the GGA+U geometry in the Materials Project gives the calculated X-ray powder pattern in this record (Cu Kα (weighted mean of Kα1 and Kα2)).

Atomic structure:
Cell lengths 3.755, 4.894, 18.966 Å; angles 88.28, 89.90, 88.98 degrees
Fractional coordinates of all 25 atoms:
Nd1 0.000 0.000 0.000
Fe1 0.493 0.460 0.296
Fe2 0.494 0.456 0.496
Fe3 0.494 0.457 0.695
Fe4 0.494 0.457 0.899
Fe5 0.495 0.448 0.094
Bi1 0.008 0.041 0.204
Bi2 0.009 0.043 0.802
Bi3 0.028 0.027 0.402
Bi4 0.032 0.025 0.602
O1 0.464 0.835 0.491
O2 0.473 0.834 0.688
O3 0.475 0.838 0.293
O4 0.490 0.837 0.905
O5 0.494 0.311 0.397
O6 0.494 0.312 0.197
O7 0.494 0.317 0.996
O8 0.495 0.312 0.597
O9 0.495 0.826 0.078
O10 0.496 0.309 0.796
O11 0.995 0.311 0.297
O12 0.996 0.305 0.697
O13 0.996 0.307 0.496
O14 0.996 0.313 0.893
O15 0.997 0.305 0.099

The 6 most intense peaks (2θ from 15° to 90°), low angle first:
18.14 deg, I 61; 23.46 deg, I 23; 29.37 deg, I 54; 29.74 deg, I 52; 30.26 deg, I 100; 33.59 deg, I 72

=====

Entry 2:
For FeBi2PO8, the GGA+U geometry in the Materials Project gives the calculated X-ray powder pattern in this record (Cu Kα (weighted mean of Kα1 and Kα2)).

Atomic structure:
Cell lengths 6.552, 6.552, 9.872 Å; angles 112.89, 112.89, 63.51 degrees
Fractional coordinates of all 24 atoms:
Fe1 0.000 0.000 0.000
Fe2 0.000 0.000 0.500
Bi1 0.233 0.301 0.904
Bi2 0.301 0.233 0.404
Bi3 0.699 0.767 0.596
Bi4 0.767 0.699 0.096
P1 0.324 0.676 0.750
P2 0.676 0.324 0.250
O1 0.008 0.765 0.317
O2 0.023 0.684 0.984
O3 0.115 0.728 0.605
O4 0.235 0.992 0.183
O5 0.272 0.885 0.895
O6 0.316 0.977 0.516
O7 0.344 0.444 0.767
O8 0.444 0.344 0.267
O9 0.556 0.656 0.733
O10 0.656 0.556 0.233
O11 0.684 0.023 0.484
O12 0.728 0.115 0.105
O13 0.765 0.008 0.817
O14 0.885 0.272 0.395
O15 0.977 0.316 0.016
O16 0.992 0.235 0.683

The 6 most intense peaks (2θ from 15° to 90°), low angle first:
17.90 deg, I 56; 22.15 deg, I 69; 25.84 deg, I 49; 28.43 deg, I 100; 28.81 deg, I 96; 31.61 deg, I 40

=====

Entry 3:
For FeBiPPbO7, the GGA+U geometry in the Materials Project gives the calculated X-ray powder pattern in this record (Cu Kα (weighted mean of Kα1 and Kα2)).

Atomic structure:
Cell lengths 6.261, 6.261, 7.768 Å; angles 109.52, 109.52, 38.34 degrees
Fractional coordinates of all 11 atoms:
Fe1 0.000 0.000 0.000
Bi1 0.261 0.261 0.796
P1 0.527 0.527 0.396
Pb1 0.753 0.753 0.193
O1 0.164 0.164 0.999
O2 0.301 0.822 0.272
O3 0.393 0.393 0.369
O4 0.460 0.460 0.912
O5 0.614 0.614 0.593
O6 0.822 0.301 0.272
O7 0.823 0.823 0.937

The 6 most intense peaks (2θ from 15° to 90°), low angle first:
16.02 deg, I 61; 24.09 deg, I 52; 24.78 deg, I 40; 27.50 deg, I 100; 31.67 deg, I 71; 32.37 deg, I 31

=====

Copy entry 1 word for word.
For NdFe5Bi4O15, the GGA+U geometry in the Materials Project gives the calculated X-ray powder pattern in this record (Cu Kα (weighted mean of Kα1 and Kα2)).

Atomic structure:
Cell lengths 3.755, 4.894, 18.966 Å; angles 88.28, 89.90, 88.98 degrees
Fractional coordinates of all 25 atoms:
Nd1 0.000 0.000 0.000
Fe1 0.493 0.460 0.296
Fe2 0.494 0.456 0.496
Fe3 0.494 0.457 0.695
Fe4 0.494 0.457 0.899
Fe5 0.495 0.448 0.094
Bi1 0.008 0.041 0.204
Bi2 0.009 0.043 0.802
Bi3 0.028 0.027 0.402
Bi4 0.032 0.025 0.602
O1 0.464 0.835 0.491
O2 0.473 0.834 0.688
O3 0.475 0.838 0.293
O4 0.490 0.837 0.905
O5 0.494 0.311 0.397
O6 0.494 0.312 0.197
O7 0.494 0.317 0.996
O8 0.495 0.312 0.597
O9 0.495 0.826 0.078
O10 0.496 0.309 0.796
O11 0.995 0.311 0.297
O12 0.996 0.305 0.697
O13 0.996 0.307 0.496
O14 0.996 0.313 0.893
O15 0.997 0.305 0.099

The 6 most intense peaks (2θ from 15° to 90°), low angle first:
18.14 deg, I 61; 23.46 deg, I 23; 29.37 deg, I 54; 29.74 deg, I 52; 30.26 deg, I 100; 33.59 deg, I 72

=====

What did the third record say?
For FeBiPPbO7, the GGA+U geometry in the Materials Project gives the calculated X-ray powder pattern in this record (Cu Kα (weighted mean of Kα1 and Kα2)).

Atomic structure:
Cell lengths 6.261, 6.261, 7.768 Å; angles 109.52, 109.52, 38.34 degrees
Fractional coordinates of all 11 atoms:
Fe1 0.000 0.000 0.000
Bi1 0.261 0.261 0.796
P1 0.527 0.527 0.396
Pb1 0.753 0.753 0.193
O1 0.164 0.164 0.999
O2 0.301 0.822 0.272
O3 0.393 0.393 0.369
O4 0.460 0.460 0.912
O5 0.614 0.614 0.593
O6 0.822 0.301 0.272
O7 0.823 0.823 0.937

The 6 most intense peaks (2θ from 15° to 90°), low angle first:
16.02 deg, I 61; 24.09 deg, I 52; 24.78 deg, I 40; 27.50 deg, I 100; 31.67 deg, I 71; 32.37 deg, I 31